1.
The following is a theoretical powder diffraction line list of K2MgAgI5. It was derived from a structure optimized by DFT (GGA-PBE), using Cu Kα (λ = 1.5418 Å).

The 12 most intense peaks (2θ = 15–90°), most intense first:
d 3.308, rel. 1000
d 2.076, rel. 800
d 3.401, rel. 786
d 3.087, rel. 435
d 3.600, rel. 381
d 2.853, rel. 365
d 2.277, rel. 331
d 2.471, rel. 307
d 3.817, rel. 267
d 3.497, rel. 242
d 4.285, rel. 212
d 3.698, rel. 202

Cell and atoms:
abc: 4.5547 20.9979 14.8361
angles: 90.00 90.00 90.00
Space group Cmc2_1 (No. 36)
One atom of each set of equivalent atoms:
1 K 0.0000 0.1138 0.0000 [4 per cell]
2 K 0.0000 0.1277 0.6272 [4 per cell]
3 Mg 0.0000 0.2123 0.3342 [4 per cell]
4 Ag 0.0000 0.4383 0.7418 [4 per cell]
5 I 0.0000 0.0734 0.3541 [4 per cell]
6 I 0.0000 0.2833 0.9696 [4 per cell]
7 I 0.0000 0.2964 0.6958 [4 per cell]
8 I 0.0000 0.3489 0.3185 [4 per cell]
9 I 0.0000 0.4978 0.0799 [4 per cell]

2.
The following is a theoretical powder diffraction line list of KMnAgI4. It was derived from a structure optimized by DFT (GGA-PBE), using Cu Kα (λ = 1.5418 Å).

The 12 most intense peaks (2θ = 15–90°), most intense first:
d 3.919, rel. 1000
d 2.276, rel. 332
d 2.236, rel. 247
d 2.723, rel. 238
d 2.099, rel. 200
d 3.295, rel. 176
d 2.541, rel. 174
d 1.843, rel. 138
d 3.181, rel. 90
d 3.852, rel. 85
d 2.121, rel. 83
d 1.778, rel. 81

Cell and atoms:
abc: 7.7031 7.7031 11.2852
angles: 90.00 90.00 90.00
Space group I-4 (No. 82)
One atom of each set of equivalent atoms:
1 K 0.0000 0.0000 0.0000 [2 per cell]
2 Mn 0.0000 0.5000 0.7500 [2 per cell]
3 Ag 0.0000 0.0000 0.5000 [2 per cell]
4 I 0.1852 0.2475 0.6406 [8 per cell]

3.
The following is a theoretical powder diffraction line list of KNaAg2I4. It was derived from a structure optimized by DFT (GGA-PBE), using Cu Kα (λ = 1.5418 Å).

The 12 most intense peaks (2θ = 15–90°), most intense first:
d 3.637, rel. 1000
d 2.938, rel. 859
d 3.515, rel. 510
d 2.154, rel. 448
d 1.864, rel. 362
d 4.630, rel. 344
d 2.237, rel. 266
d 2.906, rel. 261
d 2.032, rel. 244
d 5.876, rel. 220
d 1.652, rel. 219
d 2.481, rel. 189

Cell and atoms:
abc: 8.0243 8.6288 9.2603
angles: 90.00 90.00 90.00
Space group I222 (No. 23)
One atom of each set of equivalent atoms:
1 K 0.0000 0.0000 0.0000 [2 per cell]
2 Na 0.0000 0.0000 0.5000 [2 per cell]
3 Ag 0.0000 0.5000 0.1614 [4 per cell]
4 I 0.2447 0.2004 0.3201 [8 per cell]

4.
The following is a theoretical powder diffraction line list of KNdAg2I6. It was derived from a structure optimized by DFT (GGA-PBE), using Cu Kα (λ = 1.5418 Å).

The 12 most intense peaks (2θ = 15–90°), most intense first:
d 3.626, rel. 1000
d 2.344, rel. 460
d 4.586, rel. 310
d 4.034, rel. 276
d 2.242, rel. 227
d 2.861, rel. 196
d 1.968, rel. 161
d 2.433, rel. 153
d 2.027, rel. 150
d 3.040, rel. 127
d 1.507, rel. 123
d 1.529, rel. 98

Cell and atoms:
abc: 8.1156 8.1177 9.3299
angles: 64.21 64.25 60.04
Space group P-1 (No. 2)
One atom of each set of equivalent atoms:
1 K 0.0000 0.0000 0.0000 [1 per cell]
2 Nd 0.5000 0.5000 0.5000 [1 per cell]
3 Ag 0.2344 0.2339 0.2971 [2 per cell]
4 I 0.1093 0.7348 0.7287 [2 per cell]
5 I 0.2662 0.5722 0.2705 [2 per cell]
6 I 0.4276 0.1092 0.7296 [2 per cell]

5.
The following is a theoretical powder diffraction line list of K2AgIO. It was derived from a structure optimized by DFT (GGA-PBE), using Cu Kα (λ = 1.5418 Å).

The 12 most intense peaks (2θ = 15–90°), most intense first:
d 4.626, rel. 1000
d 4.488, rel. 949
d 2.913, rel. 767
d 3.072, rel. 573
d 2.513, rel. 523
d 3.115, rel. 464
d 2.821, rel. 462
d 2.724, rel. 427
d 2.107, rel. 381
d 3.224, rel. 379
d 2.639, rel. 355
d 2.388, rel. 316

Cell and atoms:
abc: 8.0908 4.2141 9.5644
angles: 90.00 110.21 90.00
Space group P2_1/m (No. 11)
One atom of each set of equivalent atoms:
1 K 0.1644 0.2500 0.4729 [2 per cell]
2 K 0.1863 0.2500 0.8500 [2 per cell]
3 Ag 0.4533 0.7500 0.7365 [2 per cell]
4 I 0.2858 0.7500 0.1944 [2 per cell]
5 O 0.1786 0.7500 0.6683 [2 per cell]

6.
The following is a theoretical powder diffraction line list of KAgSbI5. It was derived from a structure optimized by DFT (GGA-PBE), using Cu Kα (λ = 1.5418 Å).

The 12 most intense peaks (2θ = 15–90°), most intense first:
d 3.614, rel. 1000
d 4.031, rel. 532
d 5.166, rel. 410
d 2.200, rel. 357
d 2.450, rel. 347
d 2.466, rel. 346
d 2.705, rel. 345
d 3.653, rel. 319
d 2.548, rel. 312
d 5.405, rel. 286
d 4.169, rel. 277
d 1.956, rel. 244

Cell and atoms:
abc: 9.9678 13.7480 11.3678
angles: 90.00 112.72 90.00
Space group C2/c (No. 15)
One atom of each set of equivalent atoms:
1 K 0.0000 0.1404 0.2500 [4 per cell]
2 Ag 0.0000 0.1932 0.7500 [4 per cell]
3 Sb 0.0000 0.5000 0.0000 [4 per cell]
4 I 0.0000 0.4153 0.2500 [4 per cell]
5 I 0.1212 0.2995 0.6031 [8 per cell]
6 I 0.1875 0.0647 0.9439 [8 per cell]

7.
The following is a theoretical powder diffraction line list of KSmAg2I6. It was derived from a structure optimized by DFT (GGA-PBE), using Cu Kα (λ = 1.5418 Å).

The 12 most intense peaks (2θ = 15–90°), most intense first:
d 3.611, rel. 1000
d 2.335, rel. 460
d 4.564, rel. 313
d 4.011, rel. 267
d 2.231, rel. 221
d 2.848, rel. 208
d 2.423, rel. 160
d 1.960, rel. 157
d 1.521, rel. 137
d 3.027, rel. 131
d 1.501, rel. 118
d 2.019, rel. 106

Cell and atoms:
abc: 8.0863 8.0867 9.2795
angles: 64.17 64.23 60.02
Space group P-1 (No. 2)
One atom of each set of equivalent atoms:
1 K 0.0000 0.0000 0.0000 [1 per cell]
2 Sm 0.5000 0.5000 0.5000 [1 per cell]
3 Ag 0.2330 0.2327 0.3004 [2 per cell]
4 I 0.1124 0.7329 0.7274 [2 per cell]
5 I 0.2672 0.5720 0.2722 [2 per cell]
6 I 0.4280 0.1118 0.7284 [2 per cell]

8.
The following is a theoretical powder diffraction line list of KAgSn2I6. It was derived from a structure optimized by DFT (GGA-PBE), using Cu Kα (λ = 1.5418 Å).

The 12 most intense peaks (2θ = 15–90°), most intense first:
d 3.557, rel. 1000
d 2.734, rel. 675
d 2.341, rel. 447
d 2.109, rel. 249
d 1.416, rel. 155
d 1.778, rel. 151
d 2.968, rel. 147
d 1.955, rel. 139
d 1.452, rel. 136
d 4.357, rel. 126
d 2.395, rel. 117
d 1.919, rel. 82

Cell and atoms:
abc: 8.1092 8.1092 22.2195
angles: 90.00 90.00 120.00
Space group R3 (No. 146, hexagonal axes)
One atom of each set of equivalent atoms:
1 K 0.0000 0.0000 0.0000 [3 per cell]
2 Ag 0.0000 0.0000 0.4904 [3 per cell]
3 Sn 0.0000 0.0000 0.2979 [3 per cell]
4 Sn 0.0000 0.0000 0.8068 [3 per cell]
5 I 0.0029 0.3352 0.2253 [9 per cell]
6 I 0.0175 0.6222 0.0656 [9 per cell]

9.
The following is a theoretical powder diffraction line list of K2AgSnI6. It was derived from a structure optimized by DFT (GGA-PBE), using Cu Kα (λ = 1.5418 Å).

The 12 most intense peaks (2θ = 15–90°), most intense first:
d 3.518, rel. 1000
d 5.890, rel. 895
d 2.945, rel. 812
d 2.925, rel. 472
d 5.850, rel. 433
d 3.435, rel. 404
d 1.988, rel. 384
d 2.673, rel. 369
d 1.974, rel. 369
d 2.373, rel. 363
d 2.630, rel. 332
d 3.586, rel. 309

Cell and atoms:
abc: 8.1818 8.4860 14.2570
angles: 90.00 124.84 90.00
Space group P2_1/c (No. 14)
One atom of each set of equivalent atoms:
1 K 0.2225 0.0770 0.2481 [4 per cell]
2 Ag 0.0000 0.0000 0.5000 [2 per cell]
3 Sn 0.5000 0.0000 0.0000 [2 per cell]
4 I 0.1520 0.2045 0.9529 [4 per cell]
5 I 0.2550 0.7002 0.9561 [4 per cell]
6 I 0.3396 0.0137 0.7469 [4 per cell]

10.
The following is a theoretical powder diffraction line list of K3Tl3AgI8. It was derived from a structure optimized by DFT (GGA-PBE), using Cu Kα (λ = 1.5418 Å).

The 12 most intense peaks (2θ = 15–90°), most intense first:
d 3.529, rel. 1000
d 2.499, rel. 482
d 2.489, rel. 224
d 2.720, rel. 148
d 1.581, rel. 147
d 4.258, rel. 126
d 2.037, rel. 114
d 3.240, rel. 96
d 1.439, rel. 85
d 1.577, rel. 82
d 1.767, rel. 79
d 1.978, rel. 74

Cell and atoms:
abc: 17.2215 9.9914 9.9952
angles: 90.00 125.14 90.00
Space group C2/m (No. 12)
One atom of each set of equivalent atoms:
1 K 0.0000 0.0000 0.0000 [2 per cell]
2 K 0.2500 0.2500 0.0000 [4 per cell]
3 Tl 0.0000 0.5000 0.5000 [2 per cell]
4 Tl 0.2500 0.2500 0.5000 [4 per cell]
5 Ag 0.0000 0.5000 0.0000 [2 per cell]
6 I 0.0002 0.2789 0.2225 [8 per cell]
7 I 0.2038 0.5000 0.2052 [4 per cell]
8 I 0.2495 0.0000 0.2486 [4 per cell]

11.
The following is a theoretical powder diffraction line list of KZrAg2I8. It was derived from a structure optimized by DFT (GGA-PBE), using Cu Kα (λ = 1.5418 Å).

The 12 most intense peaks (2θ = 15–90°), most intense first:
d 3.192, rel. 1000
d 3.302, rel. 729
d 3.124, rel. 668
d 4.037, rel. 656
d 3.783, rel. 533
d 3.476, rel. 486
d 3.753, rel. 403
d 3.598, rel. 396
d 2.025, rel. 366
d 2.108, rel. 334
d 3.357, rel. 311
d 3.084, rel. 311

Cell and atoms:
abc: 7.2507 7.5851 9.8579
angles: 82.83 70.54 83.63
Space group P-1 (No. 2)
One atom of each set of equivalent atoms:
1 K 0.0000 0.0000 0.0000 [1 per cell]
2 Zr 0.5000 0.0000 0.5000 [1 per cell]
3 Ag 0.4448 0.5405 0.2107 [2 per cell]
4 I 0.1382 0.8535 0.6489 [2 per cell]
5 I 0.2145 0.5191 0.0260 [2 per cell]
6 I 0.2869 0.3452 0.4751 [2 per cell]
7 I 0.4734 0.9183 0.2243 [2 per cell]

12.
The following is a theoretical powder diffraction line list of La4AgI5. It was derived from a structure optimized by DFT (GGA-PBE), using Cu Kα (λ = 1.5418 Å).

The 12 most intense peaks (2θ = 15–90°), most intense first:
d 3.185, rel. 1000
d 3.223, rel. 614
d 2.297, rel. 405
d 2.236, rel. 366
d 1.792, rel. 195
d 2.363, rel. 187
d 2.155, rel. 176
d 1.592, rel. 109
d 1.943, rel. 106
d 2.878, rel. 100
d 1.454, rel. 98
d 1.871, rel. 94

Cell and atoms:
abc: 19.7423 4.3106 9.4597
angles: 90.00 101.57 90.00
Space group C2/m (No. 12)
One atom of each set of equivalent atoms:
1 La 0.0026 0.0000 0.2237 [4 per cell]
2 La 0.1634 0.5000 0.0705 [4 per cell]
3 Ag 0.0000 0.5000 0.0000 [2 per cell]
4 I 0.0000 0.5000 0.5000 [2 per cell]
5 I 0.1682 0.0000 0.8080 [4 per cell]
6 I 0.1696 0.0000 0.3338 [4 per cell]